Ga4CoNi: simulated powder diffractogram (a wavelength of 1.5418 Å), based on a PBE-relaxed structure.
No peak broadening, texture or thermal motion is included.

Cell: 6.096 6.096 2.801 Å, 90.00 90.00 90.00°
Element x y z (fractional)
Ga 0.224 0.776 0.000
Ga 0.272 0.272 0.500
Ga 0.728 0.728 0.500
Ga 0.776 0.224 0.000
Co 0.000 0.000 0.500
Ni 0.500 0.500 0.000

Largest 10 diffraction maxima, by intensity, 2θ = 10–80°:
d/Å	2θ (°)	I (rel.)
2.349	38.33	1000
2.155	41.92	729
4.310	20.61	554
1.588	58.09	473
1.954	46.49	391
3.048	29.30	290
1.645	55.90	251
1.524	60.78	201
2.726	32.85	139
2.545	35.26	106



Ga7Co4Ni: simulated powder diffractogram (a wavelength of 1.5418 Å), based on a PBE-relaxed structure.
No peak broadening, texture or thermal motion is included.

Cell: 6.406 6.406 8.484 Å, 126.16 126.16 38.95°
Element x y z (fractional)
Ga 0.000 0.000 0.000
Ga 0.163 0.163 0.611
Ga 0.287 0.287 0.141
Ga 0.430 0.430 0.666
Ga 0.570 0.570 0.334
Ga 0.713 0.713 0.859
Ga 0.837 0.837 0.389
Co 0.065 0.065 0.785
Co 0.197 0.197 0.351
Co 0.803 0.803 0.649
Co 0.935 0.935 0.215
Ni 0.500 0.500 0.000

Largest 10 diffraction maxima, by intensity, 2θ = 10–80°:
d/Å	2θ (°)	I (rel.)
2.044	44.31	1000
2.136	42.32	916
2.038	44.46	887
2.001	45.33	591
1.460	63.74	401
2.351	38.29	358
2.854	31.34	330
1.965	46.19	235
1.427	65.40	184
2.920	30.62	171



GaCo14Ni: simulated powder diffractogram (a wavelength of 1.5418 Å), based on a PBE-relaxed structure.
No peak broadening, texture or thermal motion is included.

Cell: 8.125 5.011 5.011 Å, 60.00 90.00 90.00°
Element x y z (fractional)
Ga 0.000 0.000 0.000
Co 0.000 0.501 0.999
Co 0.000 0.999 0.501
Co 0.249 0.667 0.667
Co 0.255 0.169 0.169
Co 0.256 0.170 0.660
Co 0.256 0.660 0.170
Co 0.500 0.334 0.334
Co 0.500 0.334 0.835
Co 0.500 0.835 0.334
Co 0.500 0.835 0.835
Co 0.744 0.170 0.660
Co 0.744 0.660 0.170
Co 0.745 0.169 0.169
Co 0.751 0.667 0.667
Ni 0.000 0.500 0.500

Largest 8 diffraction maxima, by intensity, 2θ = 10–80°:
d/Å	2θ (°)	I (rel.)
1.914	47.50	1000
2.096	43.15	470
2.031	44.61	363
1.693	54.16	230
1.253	75.96	198
1.301	72.70	90
2.170	41.62	77
1.483	62.65	40



Th2GaCoNi: simulated powder diffractogram (a wavelength of 1.5418 Å), based on a PBE-relaxed structure.
No peak broadening, texture or thermal motion is included.

Cell: 7.000 4.145 7.284 Å, 90.00 100.77 90.00°
Element x y z (fractional)
Th 0.132 0.250 0.348
Th 0.282 0.250 0.918
Th 0.718 0.750 0.082
Th 0.868 0.750 0.652
Ga 0.397 0.750 0.617
Ga 0.603 0.250 0.383
Co 0.104 0.750 0.074
Co 0.896 0.250 0.926
Ni 0.422 0.750 0.271
Ni 0.578 0.250 0.729

Largest 10 diffraction maxima, by intensity, 2θ = 10–80°:
d/Å	2θ (°)	I (rel.)
2.708	33.08	1000
3.550	25.09	559
2.607	34.40	489
2.073	43.67	446
2.895	30.89	404
2.291	39.33	342
3.446	25.85	341
3.064	29.14	307
1.657	55.47	293
2.648	33.85	240



TmGa5Co2Ni: simulated powder diffractogram (a wavelength of 1.5418 Å), based on a PBE-relaxed structure.
No peak broadening, texture or thermal motion is included.

Cell: 4.572 4.572 6.964 Å, 90.00 90.00 90.00°
Element x y z (fractional)
Tm 0.000 0.000 0.000
Ga 0.000 0.500 0.306
Ga 0.000 0.500 0.694
Ga 0.500 0.000 0.306
Ga 0.500 0.000 0.694
Ga 0.500 0.500 0.000
Co 0.500 0.500 0.325
Co 0.500 0.500 0.675
Ni 0.000 0.000 0.500

Largest 10 diffraction maxima, by intensity, 2θ = 10–80°:
d/Å	2θ (°)	I (rel.)
2.286	39.42	1000
2.369	37.98	888
1.629	56.51	450
2.932	30.49	369
2.770	32.32	356
1.616	56.98	329
2.321	38.79	306
1.335	70.54	280
1.326	71.08	247
1.763	51.86	183



NpGa7Co5: simulated powder diffractogram (a wavelength of 1.5418 Å), based on a PBE-relaxed structure.
No peak broadening, texture or thermal motion is included.

Cell: 6.523 6.523 6.523 Å, 134.13 97.81 99.65°
Element x y z (fractional)
Np 0.000 0.000 0.000
Ga 0.201 0.498 0.703
Ga 0.309 0.967 0.342
Ga 0.335 0.335 0.000
Ga 0.625 0.967 0.658
Ga 0.650 0.650 0.000
Ga 0.756 0.256 0.500
Ga 0.794 0.498 0.297
Co 0.213 0.713 0.500
Co 0.491 0.477 0.495
Co 0.491 0.995 0.014
Co 0.982 0.477 0.986
Co 0.982 0.995 0.505

Largest 10 diffraction maxima, by intensity, 2θ = 10–80°:
d/Å	2θ (°)	I (rel.)
2.144	42.15	1000
2.131	42.41	571
2.491	36.05	450
2.186	41.29	407
2.176	41.51	397
2.104	42.99	308
2.542	35.31	297
2.456	36.59	297
6.006	14.75	249
1.940	46.83	242